(1)
Sr2EuFeO5: computed powder diffraction line list (Cu Kα (λ = 1.5418 Å)), based on DFT lattice parameters and positions (GGA+U).
Neutral-atom scattering factors, no anomalous dispersion.

Largest 10 diffraction maxima, in order of rising 2θ, 10 to 90 degrees two-theta:
two_theta, I (rel.)
30.2, 52
30.4, 100
31.1, 37
37.3, 16
37.6, 70
41.8, 19
49.6, 22
54.9, 21
56.1, 16
60.9, 19

Atomic structure:
```
data_Sr2EuFeO5
_symmetry_space_group_name_H-M 'F m m m'
_symmetry_Int_Tables_number 69
_symmetry_space_group_name_Hall '-F 2 2'
_cell_length_a 9.654
_cell_length_b 9.690
_cell_length_c 11.497
_cell_angle_alpha 90.00
_cell_angle_beta 90.00
_cell_angle_gamma 90.00
loop_
_atom_site_label
_atom_site_fract_x
_atom_site_fract_y
_atom_site_fract_z
_atom_site_occupancy
Sr1 0.173 0.000 0.000 1
Sr2 0.250 0.250 0.250 1
Eu1 0.000 0.180 0.500 1
Fe1 0.000 0.000 0.248 1
O1 0.000 0.151 0.143 1
O2 0.144 0.000 0.357 1
O3 0.250 0.250 0.000 1
```

(2)
LiV4CuO12: computed powder diffraction line list (Cu Kα (λ = 1.5418 Å)), based on DFT lattice parameters and positions (GGA+U).
Neutral-atom scattering factors, no anomalous dispersion.

Largest 10 diffraction maxima, in order of rising 2θ, 10 to 90 degrees two-theta:
two_theta, I (rel.)
18.4, 55
19.0, 32
19.9, 54
23.6, 28
25.6, 47
28.4, 100
30.4, 60
32.3, 48
35.4, 24
45.5, 24

Atomic structure:
```
data_LiV4CuO12
_symmetry_space_group_name_H-M 'C 1 2 1'
_symmetry_Int_Tables_number 5
_cell_length_a 9.990
_cell_length_b 8.943
_cell_length_c 5.920
_cell_angle_alpha 90.00
_cell_angle_beta 110.70
_cell_angle_gamma 90.00
loop_
_symmetry_equiv_pos_as_xyz
'x,y,z'
'-x,y,-z'
'x+1/2,y+1/2,z'
'-x+1/2,y+1/2,-z'
loop_
_atom_site_label
_atom_site_fract_x
_atom_site_fract_y
_atom_site_fract_z
_atom_site_occupancy
Li1 0.000 0.000 0.000 1
V1 0.202 0.498 0.485 1
V2 0.208 0.681 0.999 1
Cu1 0.000 0.175 0.500 1
O1 0.108 0.172 0.858 1
O2 0.115 0.005 0.425 1
O3 0.133 0.587 0.196 1
O4 0.145 0.316 0.462 1
O5 0.147 0.595 0.700 1
O6 0.153 0.857 0.974 1
```

Copy entry 1 word for word.
Sr2EuFeO5: computed powder diffraction line list (Cu Kα (λ = 1.5418 Å)), based on DFT lattice parameters and positions (GGA+U).
Neutral-atom scattering factors, no anomalous dispersion.

Largest 10 diffraction maxima, in order of rising 2θ, 10 to 90 degrees two-theta:
two_theta, I (rel.)
30.2, 52
30.4, 100
31.1, 37
37.3, 16
37.6, 70
41.8, 19
49.6, 22
54.9, 21
56.1, 16
60.9, 19

Atomic structure:
```
data_Sr2EuFeO5
_symmetry_space_group_name_H-M 'F m m m'
_symmetry_Int_Tables_number 69
_symmetry_space_group_name_Hall '-F 2 2'
_cell_length_a 9.654
_cell_length_b 9.690
_cell_length_c 11.497
_cell_angle_alpha 90.00
_cell_angle_beta 90.00
_cell_angle_gamma 90.00
loop_
_atom_site_label
_atom_site_fract_x
_atom_site_fract_y
_atom_site_fract_z
_atom_site_occupancy
Sr1 0.173 0.000 0.000 1
Sr2 0.250 0.250 0.250 1
Eu1 0.000 0.180 0.500 1
Fe1 0.000 0.000 0.248 1
O1 0.000 0.151 0.143 1
O2 0.144 0.000 0.357 1
O3 0.250 0.250 0.000 1
```